For BeSbOs2, a DFT-relaxed cell (PBE, Alexandria) gives the theoretical PXRD pattern in this record (Cu Kα).
Peak positions follow from Bragg's law for the DFT cell and can differ from measured ones.

Principal peaks in the range 10 to 90 degrees two-theta, in order of rising 2θ:
| 2θ/deg | Rel. int. | index |
| --- | --- | --- |
| 14.5 | 21 | 0 0 1 |
| 32.2 | 63 | 1 0 1 |
| 40.9 | 62 | 1 1 0 |
| 41.4 | 100 | 1 0 2 |
| 44.5 | 13 | 0 0 3 |
| 59.2 | 21 | 2 0 0 |
| 62.0 | 20 | 1 1 3 |
| 69.0 | 15 | 2 1 1 |
| 74.7 | 35 | 2 1 2 |
| 85.3 | 11 | 1 0 5 |

Crystal structure
Cell: 3.1236 3.1236 6.1068 Å, 90.00 90.00 90.00°
Space group P4mm (No. 99)
One atom of each set of equivalent atoms:
Be 0.0000 0.0000 0.0000 (multiplicity 1)
Sb 0.5000 0.5000 0.6690 (multiplicity 1)
Os 0.0000 0.0000 0.4157 (multiplicity 1)
Os 0.5000 0.5000 0.1026 (multiplicity 1)

=====

For ScBe9Os2, a DFT-relaxed cell (PBE, Alexandria) gives the theoretical PXRD pattern in this record (Cu Kα).
Peak positions follow from Bragg's law for the DFT cell and can differ from measured ones.

Principal peaks in the range 10 to 90 degrees two-theta, in order of rising 2θ:
| 2θ/deg | Rel. int. | index |
| --- | --- | --- |
| 12.6 | 100 | 0 0 2 |
| 23.4 | 34 | 1 0 0 |
| 25.3 | 17 | 0 0 4 |
| 26.7 | 27 | 1 0 2 |
| 30.3 | 24 | 1 0 3 |
| 39.9 | 51 | 1 0 5 |
| 41.2 | 38 | 1 1 0 |
| 43.2 | 31 | 1 1 2 |
| 48.9 | 24 | 1 1 4 |
| 51.4 | 20 | 1 0 7 |

Crystal structure
Cell: 4.3872 4.3872 14.0765 Å, 90.00 90.00 120.00°
Space group P6_3/mmc (No. 194)
One atom of each set of equivalent atoms:
Sc 0.3333 0.6667 0.2500 (multiplicity 2)
Be 0.0000 0.0000 0.0000 (multiplicity 2)
Be 0.0000 0.0000 0.2500 (multiplicity 2)
Be 0.1695 0.3390 0.6201 (multiplicity 12)
Be 0.3333 0.6667 0.7500 (multiplicity 2)
Os 0.3333 0.6667 0.0355 (multiplicity 4)

=====

For BeSnOs, a DFT-relaxed cell (PBE, Alexandria) gives the theoretical PXRD pattern in this record (Cu Kα).
Peak positions follow from Bragg's law for the DFT cell and can differ from measured ones.

Principal peaks in the range 10 to 90 degrees two-theta, in order of rising 2θ:
| 2θ/deg | Rel. int. | index |
| --- | --- | --- |
| 23.4 | 76 | 1 1 1 |
| 29.7 | 80 | 0 2 2 |
| 37.5 | 23 | 1 3 1 |
| 38.8 | 100 | 1 1 3 |
| 41.2 | 45 | 0 4 0 |
| 42.4 | 83 | 2 2 0 |
| 43.0 | 30 | 2 0 2 |
| 49.1 | 52 | 1 3 3 |
| 61.1 | 22 | 2 4 2 |
| 66.0 | 22 | 1 5 3 |

Crystal structure
Cell: 4.8884 8.7554 8.2908 Å, 90.00 90.00 90.00°
Space group Fdd2 (No. 43)
One atom of each set of equivalent atoms:
Be 0.0000 0.0000 0.0000 (multiplicity 8)
Sn 0.0000 0.0000 0.3468 (multiplicity 8)
Os 0.0000 0.0000 0.7039 (multiplicity 8)

=====

For SrBeOs2, a DFT-relaxed cell (PBE, Alexandria) gives the theoretical PXRD pattern in this record (Cu Kα).
Peak positions follow from Bragg's law for the DFT cell and can differ from measured ones.

Principal peaks in the range 10 to 90 degrees two-theta, in order of rising 2θ:
| 2θ/deg | Rel. int. | index |
| --- | --- | --- |
| 16.1 | 100 | 0 0 3 |
| 24.9 | 36 | 1 0 1 |
| 26.7 | 42 | 0 1 2 |
| 32.5 | 44 | 0 0 6 |
| 32.7 | 66 | 1 0 4 |
| 42.8 | 69 | 1 1 0 |
| 46.1 | 43 | 1 1 3 |
| 54.8 | 60 | 1 1 6 |
| 61.6 | 18 | 1 0 10 |
| 87.5 | 17 | 3 0 6 |

Crystal structure
Cell: 4.2210 4.2210 16.5288 Å, 90.00 90.00 120.00°
Space group R3m (No. 160, hexagonal axes)
One atom of each set of equivalent atoms:
Sr 0.0000 0.0000 0.0000 (multiplicity 3)
Be 0.0000 0.0000 0.8194 (multiplicity 3)
Os 0.0000 0.0000 0.1845 (multiplicity 3)
Os 0.0000 0.0000 0.4999 (multiplicity 3)

=====

For TbBe9Os2, a DFT-relaxed cell (PBE, Alexandria) gives the theoretical PXRD pattern in this record (Cu Kα).
Peak positions follow from Bragg's law for the DFT cell and can differ from measured ones.

Principal peaks in the range 10 to 90 degrees two-theta, in order of rising 2θ:
| 2θ/deg | Rel. int. | index |
| --- | --- | --- |
| 12.3 | 47 | 0 0 2 |
| 23.0 | 68 | 1 0 0 |
| 23.9 | 74 | 1 0 1 |
| 24.8 | 45 | 0 0 4 |
| 34.1 | 32 | 1 0 4 |
| 39.1 | 100 | 1 0 5 |
| 40.5 | 74 | 1 1 0 |
| 48.1 | 59 | 1 1 4 |
| 57.6 | 30 | 2 0 5 |
| 72.7 | 33 | 2 1 5 |

Crystal structure
Cell: 4.4569 4.4569 14.3471 Å, 90.00 90.00 120.00°
Space group P6_3/mmc (No. 194)
One atom of each set of equivalent atoms:
Tb 0.3333 0.6667 0.2500 (multiplicity 2)
Be 0.0000 0.0000 0.0000 (multiplicity 2)
Be 0.0000 0.0000 0.2500 (multiplicity 2)
Be 0.1695 0.3390 0.6169 (multiplicity 12)
Be 0.3333 0.6667 0.7500 (multiplicity 2)
Os 0.3333 0.6667 0.0340 (multiplicity 4)

=====

For BeTcOs, a DFT-relaxed cell (PBE, Alexandria) gives the theoretical PXRD pattern in this record (Cu Kα).
Peak positions follow from Bragg's law for the DFT cell and can differ from measured ones.

Principal peaks in the range 10 to 90 degrees two-theta, in order of rising 2θ:
| 2θ/deg | Rel. int. | index |
| --- | --- | --- |
| 22.6 | 54 | 0 0 4 |
| 28.1 | 20 | 1 1 3 |
| 36.3 | 47 | 1 1 5 |
| 39.8 | 100 | 1 3 1 |
| 40.7 | 75 | 2 0 2 |
| 41.3 | 52 | 0 2 6 |
| 43.1 | 42 | 1 3 3 |
| 46.3 | 30 | 1 1 7 |
| 51.3 | 31 | 2 2 4 |
| 72.7 | 24 | 0 6 2 |

Crystal structure
Cell: 4.6224 7.9141 15.7516 Å, 90.00 90.00 90.00°
Space group Fddd (No. 70, origin choice 2)
One atom of each set of equivalent atoms:
Be 0.1250 0.1250 0.0013 (multiplicity 16)
Tc 0.1250 0.1250 0.5452 (multiplicity 16)
Os 0.1250 0.2974 0.1250 (multiplicity 16)

=====

For TiBe17Os, a DFT-relaxed cell (PBE, Alexandria) gives the theoretical PXRD pattern in this record (Cu Kα).
Peak positions follow from Bragg's law for the DFT cell and can differ from measured ones.

Principal peaks in the range 10 to 90 degrees two-theta, in order of rising 2θ:
| 2θ/deg | Rel. int. | index |
| --- | --- | --- |
| 16.4 | 100 | 1 0 1 |
| 21.9 | 50 | 0 1 2 |
| 24.5 | 68 | 1 1 0 |
| 25.2 | 22 | 0 0 3 |
| 29.6 | 27 | 0 2 1 |
| 35.4 | 64 | 1 1 3 |
| 38.8 | 26 | 2 1 1 |
| 41.6 | 21 | 1 2 2 |
| 43.1 | 24 | 3 0 0 |
| 50.6 | 34 | 0 3 3 |

Crystal structure
Cell: 7.2740 7.2740 10.6094 Å, 90.00 90.00 120.00°
Space group R3m (No. 160, hexagonal axes)
One atom of each set of equivalent atoms:
Ti 0.0000 0.0000 0.0000 (multiplicity 3)
Be 0.0000 0.0000 0.2426 (multiplicity 3)
Be 0.0000 0.0000 0.4426 (multiplicity 3)
Be 0.0032 0.5016 0.1891 (multiplicity 9)
Be 0.0046 0.3032 0.3400 (multiplicity 18)
Be 0.0083 0.5041 0.8382 (multiplicity 9)
Be 0.0138 0.5069 0.4950 (multiplicity 9)
Os 0.0000 0.0000 0.6753 (multiplicity 3)

=====

For U2BeOs3, a DFT-relaxed cell (PBE, Alexandria) gives the theoretical PXRD pattern in this record (Cu Kα).
Peak positions follow from Bragg's law for the DFT cell and can differ from measured ones.

Principal peaks in the range 10 to 90 degrees two-theta, in order of rising 2θ:
| 2θ/deg | Rel. int. | index |
| --- | --- | --- |
| 32.6 | 15 | 1 1 0 |
| 37.3 | 56 | 1 0 4 |
| 38.6 | 100 | 0 2 1 |
| 40.8 | 53 | 1 1 3 |
| 41.2 | 37 | 2 0 2 |
| 44.8 | 26 | 0 1 5 |
| 61.3 | 28 | 2 1 4 |
| 66.7 | 16 | 1 2 5 |
| 68.2 | 26 | 2 2 0 |
| 79.6 | 17 | 2 0 8 |

Crystal structure
Cell: 5.5014 5.5014 11.1658 Å, 90.00 90.00 120.00°
Space group R-3m (No. 166, hexagonal axes)
One atom of each set of equivalent atoms:
U 0.0000 0.0000 0.1209 (multiplicity 6)
Be 0.0000 0.0000 0.5000 (multiplicity 3)
Os 0.0000 0.5000 0.0000 (multiplicity 9)